The following is a calculated X-ray diffraction stick pattern of La6Tb2Pm. It was derived from DFT lattice parameters and positions (PBE), using CuKα.

Most intense lines, 15 to 90 degrees two-theta, by angle:
| two_theta | d_spacing | I (rel.) | hkl |
| --- | --- | --- | --- |
| 28.03 | 3.184 | 48 | 1 0 0 |
| 29.02 | 3.077 | 54 | 0 0 9 |
| 30.91 | 2.893 | 72 | 1 0 4 |
| 32.44 | 2.760 | 100 | 1 0 5 |
| 49.59 | 1.838 | 39 | 1 1 0 |
| 58.49 | 1.578 | 45 | 1 1 9 |

Structural model:
Lattice parameters (Å, degrees): 3.6763 3.6763 27.6909 90.00 90.00 120.00
Space group P-6m2 (No. 187)
Asymmetric unit:
La1 0.0000 0.0000 0.0654 [2 per cell]
La2 0.0000 0.0000 0.2767 [2 per cell]
La3 0.3333 0.6667 0.3906 [2 per cell]
Tb1 0.3333 0.6667 0.1693 [2 per cell]
Pm1 0.0000 0.0000 0.5000 [1 per cell]